# 1
Diffraction record for Y2In3Pb3. The PXRD pattern is calculated, not measured: it uses a DFT-relaxed cell (GGA-PBE, the Materials Project) and a wavelength of 1.5418 Å.

Top 10 peaks for 2θ from 15° to 90°, in order of rising 2θ:
2theta  I_rel
18.7  7
32.4  100
37.4  34
37.8  16
53.9  12
54.3  23
64.3  14
64.4  14
64.9  13
67.8  12

Crystal structure
```
Y2In3Pb3
1.0
4.8020 0.0000 0.0000
0.0000 4.8131 0.0000
0.0000 0.0000 9.5131
Y In Pb
2 3 3
Cartesian
0.0000 0.0000 2.3717
0.0000 0.0000 7.1414
0.0000 2.4066 4.7566
2.4010 2.4066 2.4028
2.4010 2.4066 7.1104
0.0000 2.4066 0.0000
2.4010 0.0000 0.0000
2.4010 0.0000 4.7566
```

# 2
Diffraction record for In3Pd. The PXRD pattern is calculated, not measured: it uses a DFT-relaxed cell (GGA-PBE, the Materials Project) and a wavelength of 1.5418 Å.

Top 10 peaks for 2θ from 15° to 90°, in order of rising 2θ:
2theta  I_rel
31.6  25
36.7  100
37.0  22
49.4  14
56.2  18
65.9  3
66.5  17
69.1  14
69.2  19
78.1  3

Crystal structure
```
In3Pd
1.0
6.5436 0.0000 0.0000
-3.2718 5.6669 0.0000
0.0000 0.0000 4.8602
In Pd
6 2
Cartesian
0.0000 1.9794 1.2150
-1.5576 4.6772 1.2150
1.7142 0.9897 3.6451
1.5576 4.6772 1.2150
4.8294 0.9897 3.6451
3.2718 3.6876 3.6451
0.0000 3.7779 3.6451
3.2718 1.8890 1.2150
```

# 3
Diffraction record for In3Pd. The PXRD pattern is calculated, not measured: it uses a DFT-relaxed cell (GGA-PBE, the Materials Project) and a wavelength of 1.5418 Å.

Top 6 peaks for 2θ from 15° to 90°, in order of rising 2θ:
2theta  I_rel
34.8  100
40.4  49
58.5  32
69.9  37
73.5  11
87.4  5

Crystal structure
```
In3Pd
1.0
4.4622 0.0000 0.0000
0.0000 4.4622 0.0000
0.0000 0.0000 4.4622
In Pd
3 1
Cartesian
0.0000 0.0000 2.2311
0.0000 2.2311 0.0000
2.2311 0.0000 0.0000
2.2311 2.2311 2.2311
```

# 4
Diffraction record for In3Pd5. The PXRD pattern is calculated, not measured: it uses a DFT-relaxed cell (GGA-PBE, the Materials Project) and a wavelength of 1.5418 Å.

Top 10 peaks for 2θ from 15° to 90°, in order of rising 2θ:
2theta  I_rel
37.7  73
38.3  100
38.6  34
39.4  13
42.6  40
44.9  42
63.6  29
74.7  9
75.1  13
78.9  13

Crystal structure
```
In3Pd5
1.0
5.7726 0.0000 0.0000
0.0000 11.2767 0.0000
0.0000 0.0000 4.2458
In Pd
6 10
Cartesian
0.0000 0.0000 0.0000
1.0525 4.0507 2.1229
1.8338 9.6891 2.1229
2.8863 5.6384 0.0000
3.9388 1.5876 2.1229
4.7201 7.2260 2.1229
0.0000 5.6384 0.0000
0.3503 8.5324 0.0000
1.1928 1.2771 2.1229
1.6935 6.9154 2.1229
2.5360 2.8940 0.0000
2.8863 0.0000 0.0000
3.2367 8.3827 0.0000
4.0791 4.3613 2.1229
4.5798 9.9996 2.1229
5.4223 2.7443 0.0000
```

# 5
Diffraction record for PmInPd2. The PXRD pattern is calculated, not measured: it uses a DFT-relaxed cell (GGA-PBE, the Materials Project) and a wavelength of 1.5418 Å.

Top 8 peaks for 2θ from 15° to 90°, in order of rising 2θ:
2theta  I_rel
22.3  1
25.8  1
36.7  100
43.4  1
52.9  17
66.2  35
78.2  11
89.6  16

Crystal structure
```
PmInPd2
1.0
0.0000 3.4588 3.4588
3.4588 0.0000 3.4588
3.4588 3.4588 0.0000
Pm In Pd
1 1 2
Cartesian
0.0000 0.0000 0.0000
3.4588 3.4588 3.4588
1.7294 1.7294 1.7294
5.1882 5.1882 5.1882
```

# 6
Diffraction record for Pr2InPd2. The PXRD pattern is calculated, not measured: it uses a DFT-relaxed cell (GGA-PBE, the Materials Project) and a wavelength of 1.5418 Å.

Top 10 peaks for 2θ from 15° to 90°, in order of rising 2θ:
2theta  I_rel
32.1  47
34.1  100
36.0  42
46.1  16
47.5  12
53.2  14
59.8  20
64.7  11
68.3  16
71.7  10

Crystal structure
```
Pr2InPd2
1.0
7.8976 0.0000 0.0000
0.0000 7.8976 0.0000
0.0000 0.0000 3.9398
Pr In Pd
4 2 4
Cartesian
1.3869 2.5619 0.0000
2.5619 6.5107 0.0000
5.3358 1.3869 0.0000
6.5107 5.3358 0.0000
0.0000 0.0000 1.9699
3.9488 3.9488 1.9699
1.0013 4.9502 1.9699
2.9475 1.0013 1.9699
4.9502 6.8963 1.9699
6.8963 2.9475 1.9699
```

# 7
Diffraction record for PrInPd. The PXRD pattern is calculated, not measured: it uses a DFT-relaxed cell (GGA-PBE, the Materials Project) and a wavelength of 1.5418 Å.

Top 10 peaks for 2θ from 15° to 90°, in order of rising 2θ:
2theta  I_rel
31.6  100
34.4  98
35.1  54
40.0  34
41.6  27
44.2  27
53.7  17
57.7  25
61.1  19
64.2  32

Crystal structure
```
PrInPd
1.0
7.8125 0.0000 0.0000
-3.9063 6.7659 0.0000
0.0000 0.0000 4.0966
Pr In Pd
3 3 3
Cartesian
-2.3025 3.9881 0.0000
1.6038 2.7778 0.0000
4.6050 0.0000 0.0000
-0.9790 1.6957 2.0483
1.9580 0.0000 2.0483
2.9273 5.0702 2.0483
0.0000 0.0000 0.0000
0.0000 4.5106 2.0483
3.9063 2.2553 2.0483
```

# 8
Diffraction record for PrIn2Pd. The PXRD pattern is calculated, not measured: it uses a DFT-relaxed cell (GGA-PBE, the Materials Project) and a wavelength of 1.5418 Å.

Top 10 peaks for 2θ from 15° to 90°, in order of rising 2θ:
2theta  I_rel
31.1  65
32.4  81
32.5  100
33.6  30
33.8  39
35.3  31
36.1  62
37.5  54
38.2  36
38.7  35

Crystal structure
```
PrIn2Pd
1.0
-7.1877 7.1877 4.7835
7.1877 -7.1877 4.7835
7.1877 7.1877 -4.7835
Pr In Pd
10 20 10
Cartesian
0.0000 0.0000 0.0000
4.0335 0.0000 0.7227
10.3419 0.0000 0.7227
0.0000 4.0335 0.7227
4.2637 4.2637 0.8465
2.9240 -2.9240 5.6301
0.0000 0.0000 4.5018
-2.9240 2.9240 5.6301
2.9240 2.9240 5.6301
0.0000 10.3419 0.7227
5.2691 5.2691 -2.4444
1.9186 -1.9186 2.3391
5.0813 -2.0201 3.2333
9.2940 -2.0201 3.2333
7.1877 1.6781 0.9380
-1.9186 1.9186 2.3391
1.9186 1.9186 2.3391
5.0813 2.0201 3.2333
9.2940 2.0201 3.2333
7.1877 4.7800 2.3368
1.6781 7.1877 0.9380
5.5096 0.0000 5.7215
-2.0201 5.0813 3.2333
2.0201 5.0813 3.2333
4.7800 7.1877 2.3368
2.4077 0.0000 7.1203
0.0000 2.4077 7.1203
0.0000 5.5096 5.7215
-2.0201 9.2940 3.2333
2.0201 9.2940 3.2333
2.3012 2.3012 -0.7010
4.8865 -4.8865 4.0825
7.1877 4.0527 -0.6286
7.1877 0.0000 3.3048
4.0527 7.1877 -0.6286
3.1350 0.0000 4.1550
0.0000 3.1350 4.1550
-4.8865 4.8865 4.0825
4.8865 4.8865 4.0825
0.0000 7.1877 3.3048
```

# 9
Diffraction record for PrInPd2. The PXRD pattern is calculated, not measured: it uses a DFT-relaxed cell (GGA-PBE, the Materials Project) and a wavelength of 1.5418 Å.

Top 7 peaks for 2θ from 15° to 90°, in order of rising 2θ:
2theta  I_rel
22.1  1
25.6  1
36.4  100
52.5  17
65.6  35
77.4  11
88.7  16

Crystal structure
```
PrInPd2
1.0
0.0000 3.4862 3.4862
3.4862 0.0000 3.4862
3.4862 3.4862 0.0000
Pr In Pd
1 1 2
Cartesian
0.0000 0.0000 0.0000
3.4862 3.4862 3.4862
1.7431 1.7431 1.7431
5.2294 5.2294 5.2294
```

# 10
Diffraction record for Sc2InPd2. The PXRD pattern is calculated, not measured: it uses a DFT-relaxed cell (GGA-PBE, the Materials Project) and a wavelength of 1.5418 Å.

Top 10 peaks for 2θ from 15° to 90°, in order of rising 2θ:
2theta  I_rel
25.9  39
26.5  24
33.7  16
35.4  33
37.4  100
37.8  79
43.3  16
46.4  41
67.2  23
69.3  18

Crystal structure
```
Sc2InPd2
1.0
7.5280 0.0000 0.0000
0.0000 7.5280 0.0000
0.0000 0.0000 6.8712
Sc In Pd
8 4 8
Cartesian
1.1943 1.1943 0.0000
1.4001 1.4001 3.4356
2.3639 5.1641 0.0000
2.5697 4.9583 3.4356
4.9583 2.5697 3.4356
5.1641 2.3639 0.0000
6.1279 6.1279 3.4356
6.3337 6.3337 0.0000
0.0000 3.7640 1.7178
0.0000 3.7640 5.1534
3.7640 0.0000 1.7178
3.7640 0.0000 5.1534
0.9664 6.5616 1.9047
0.9664 6.5616 4.9665
2.7976 2.7976 1.5309
2.7976 2.7976 5.3403
4.7304 4.7304 1.5309
4.7304 4.7304 5.3403
6.5616 0.9664 1.9047
6.5616 0.9664 4.9665
```

# 11
Diffraction record for In2Pd8Se. The PXRD pattern is calculated, not measured: it uses a DFT-relaxed cell (GGA-PBE, the Materials Project) and a wavelength of 1.5418 Å.

Top 10 peaks for 2θ from 15° to 90°, in order of rising 2θ:
2theta  I_rel
35.1  13
39.6  100
44.5  40
49.0  9
61.7  8
64.7  13
68.3  14
75.8  12
78.6  26
85.2  12

Crystal structure
```
In2Pd8Se
1.0
4.0753 0.0000 0.0000
0.0000 4.0753 0.0000
0.0000 0.0000 11.1499
In Pd Se
2 8 1
Cartesian
0.0000 0.0000 1.9808
0.0000 0.0000 9.1691
0.0000 2.0376 0.0000
0.0000 2.0376 4.0075
0.0000 2.0376 7.1424
2.0376 0.0000 0.0000
2.0376 0.0000 4.0075
2.0376 0.0000 7.1424
2.0376 2.0376 2.0053
2.0376 2.0376 9.1446
2.0376 2.0376 5.5750
```

# 12
Diffraction record for SmInPd. The PXRD pattern is calculated, not measured: it uses a DFT-relaxed cell (GGA-PBE, the Materials Project) and a wavelength of 1.5418 Å.

Top 10 peaks for 2θ from 15° to 90°, in order of rising 2θ:
2theta  I_rel
32.5  100
34.9  51
35.1  91
39.8  40
42.2  24
46.9  23
54.1  17
59.8  21
63.1  20
64.4  33

Crystal structure
```
SmInPd
1.0
7.8520 0.0000 0.0000
-3.9260 6.8000 0.0000
0.0000 0.0000 3.8762
Sm In Pd
3 3 3
Cartesian
-2.3228 4.0232 0.0000
1.6032 2.7768 0.0000
4.6456 0.0000 0.0000
-1.0100 1.7493 1.9381
2.0200 0.0000 1.9381
2.9160 5.0507 1.9381
0.0000 0.0000 0.0000
0.0000 4.5333 1.9381
3.9260 2.2667 1.9381
```